Computed powder XRD pattern
Compound: Ta2Hg3
Radiation: Cu Kα, 1.54184 Å
Structure: DFT lattice parameters and positions (GGA-PBE)
Lines closer than 0.1° are merged.

Cell and atoms:
```
data_Ta2Hg3
_cell_length_a 13.2563
_cell_length_b 13.2563
_cell_length_c 13.2563
_cell_angle_alpha 13.16
_cell_angle_beta 13.16
_cell_angle_gamma 13.16
_symmetry_space_group_name_H-M 'P 1'
_symmetry_Int_Tables_number 1
loop_
_symmetry_equiv_pos_as_xyz
'x,y,z'
loop_
_atom_site_label
_atom_site_type_symbol
_atom_site_fract_x
_atom_site_fract_y
_atom_site_fract_z
Ta1 Ta 0.1978 0.1978 0.1978
Ta2 Ta 0.8022 0.8022 0.8022
Hg1 Hg 0.0000 0.0000 0.0000
Hg2 Hg 0.4058 0.4058 0.4058
Hg3 Hg 0.5942 0.5942 0.5942
```

Largest 10 diffraction maxima, by angle, 5° ≤ 2θ ≤ 70°:
27.15 deg, I = 4
34.12 deg, I = 34
36.00 deg, I = 100
41.26 deg, I = 68
52.62 deg, I = 3
58.52 deg, I = 20
61.02 deg, I = 22
62.75 deg, I = 3
64.94 deg, I = 2
69.51 deg, I = 10